CaTl2Cl8: theoretical X-ray diffraction stick pattern (Cu Kα (weighted mean of Kα1 and Kα2)), based on a cell relaxed with PBE.
Lines closer than 0.1° are merged.

Atomic structure:
Cell: 17.369 9.400 13.007 Å, 90.00 131.35 90.00°
Space group C2/c (No. 15)
Asymmetric unit:
Ca 0.000 0.002 0.250
Tl 0.085 0.263 0.033
Cl 0.087 0.197 0.693
Cl 0.095 0.226 0.233
Cl 0.139 0.499 0.540
Cl 0.169 0.052 0.024

Top 6 peaks for 2θ from 5° to 70°, by angle:
2θ = 13.6°, intensity 41, (2 0 0)
2θ = 13.7°, intensity 51, (2 0 -2)
2θ = 17.3°, intensity 72, (1 1 1)
2θ = 18.5°, intensity 100, (3 1 -1)
2θ = 22.7°, intensity 53, (3 1 -3)
2θ = 23.4°, intensity 69, (2 2 -2)



Ba2MgCd12Ag3: theoretical X-ray diffraction stick pattern (Cu Kα (weighted mean of Kα1 and Kα2)), based on a cell relaxed with PBE.
Lines closer than 0.1° are merged.

Atomic structure:
Cell: 9.6197 9.6197 21.3645 Å, 90.00 90.00 120.00°
Space group R-3m (No. 166, hexagonal axes)
Asymmetric unit:
Ba 0.0000 0.0000 0.1006
Mg 0.0000 0.0000 0.5000
Cd 0.0082 0.5041 0.1338
Cd 0.0996 0.5498 0.3940
Ag 0.0000 0.5000 0.0000

Top 6 peaks for 2θ from 5° to 70°, by angle:
2θ = 21.7°, intensity 75, (0 2 1)
2θ = 23.4°, intensity 64, (0 1 5)
2θ = 27.1°, intensity 95, (0 2 4)
2θ = 37.4°, intensity 100, (2 2 0)
2θ = 40.1°, intensity 78, (2 0 8)
2θ = 41.2°, intensity 65, (2 1 7)